Starting from the PBE geometry in the Materials Project, the PXRD pattern of Ho2In was calculated for Cu Ka.
Intensities are scaled so that the largest is 100.

Peak list (10 most intense, 10° ≤ 2θ ≤ 90°, by intensity)
d_spacing	2θ/deg	I_rel	index
2.686	33.36	100	1 1 0
2.718	32.95	97	1 0 2
1.557	59.37	36	2 1 2
1.911	47.60	35	2 0 2
1.421	65.70	28	1 1 4
1.551	59.63	19	3 0 0
1.204	79.63	15	3 1 2
1.138	85.30	14	3 0 4
1.343	70.07	12	2 2 0
1.675	54.81	8	0 0 4

a = 5.371 Å, b = 5.371 Å, c = 6.699 Å
α = 90.00°, β = 90.00°, γ = 120.00°
Fractional positions:
Ho 0.000 0.000 0.000
Ho 0.000 0.000 0.500
Ho 0.333 0.667 0.250
Ho 0.667 0.333 0.750
In 0.333 0.667 0.750
In 0.667 0.333 0.250